(1)
This entry pairs a crystal structure of Li2CrCl2O with its computed PXRD pattern. Radiation: CuKα. Structure: a cell relaxed with GGA+U.
Lines closer than 0.1° are merged.

Most intense lines, 2θ = 10–90°, sorted by position:
- 15.5°, rel. 349
- 21.7°, rel. 654
- 27.4°, rel. 1000
- 30.6°, rel. 303
- 30.9°, rel. 424
- 31.5°, rel. 554
- 34.4°, rel. 260
- 34.9°, rel. 418
- 47.7°, rel. 310
- 54.9°, rel. 305

Structure:
```
Li2CrCl2O
1.0
5.584 -3.329 0.000
5.584 3.329 0.000
0.000 0.000 5.850
Li Cr Cl O
4 2 4 2
Direct
0.062 0.657 0.500 Li
0.343 0.938 0.500 Li
0.657 0.062 0.000 Li
0.938 0.343 0.000 Li
0.385 0.615 0.079 Cr
0.615 0.385 0.579 Cr
0.009 0.320 0.408 Cl
0.320 0.009 0.908 Cl
0.680 0.991 0.408 Cl
0.991 0.680 0.908 Cl
0.356 0.644 0.416 O
0.644 0.356 0.916 O
```


(2)
This entry pairs a crystal structure of Li3CrClO4 with its computed PXRD pattern. Radiation: CuKα. Structure: a cell relaxed with GGA+U.
Lines closer than 0.1° are merged.

Most intense lines, 2θ = 10–90°, sorted by position:
- 18.3°, rel. 278
- 26.1°, rel. 1000
- 32.1°, rel. 152
- 34.7°, rel. 358
- 39.5°, rel. 65
- 41.7°, rel. 79
- 46.1°, rel. 154
- 53.6°, rel. 84
- 53.8°, rel. 113
- 57.2°, rel. 140

Structure:
```
Li3CrClO4
1.0
6.821 0.000 0.000
0.000 6.821 0.000
0.000 0.000 4.848
Li Cr Cl O
6 2 2 8
Direct
0.000 0.000 0.000 Li
0.000 0.500 0.000 Li
0.250 0.250 0.351 Li
0.500 0.000 0.000 Li
0.500 0.500 0.000 Li
0.750 0.750 0.649 Li
0.250 0.750 0.500 Cr
0.750 0.250 0.500 Cr
0.250 0.250 0.831 Cl
0.750 0.750 0.169 Cl
0.055 0.750 0.708 O
0.250 0.555 0.292 O
0.250 0.945 0.292 O
0.445 0.750 0.708 O
0.555 0.250 0.292 O
0.750 0.055 0.708 O
0.750 0.445 0.708 O
0.945 0.250 0.292 O
```